The following is a theoretical X-ray powder pattern of Ti4Ni2O. It was derived from the PBE+U geometry in Alexandria, using λ = 1.5418 Å (Cu Kα).

```
Ti4Ni2O
1.0
0.0000 5.7465 5.7465
5.7465 0.0000 5.7465
5.7465 5.7465 0.0000
Ti Ni O
16 8 4
Direct
0.1789 0.1789 0.8211
0.1789 0.8211 0.1789
0.1789 0.8211 0.8211
0.2500 0.5833 0.5833
0.5682 0.5682 0.9318
0.5682 0.9318 0.5682
0.5682 0.9318 0.9318
0.5833 0.2500 0.5833
0.5833 0.5833 0.2500
0.5833 0.5833 0.5833
0.8211 0.1789 0.1789
0.8211 0.1789 0.8211
0.8211 0.8211 0.1789
0.9318 0.5682 0.5682
0.9318 0.5682 0.9318
0.9318 0.9318 0.5682
0.1627 0.1627 0.1627
0.1627 0.1627 0.5118
0.1627 0.5118 0.1627
0.3713 0.3713 0.3713
0.3713 0.3713 0.8861
0.3713 0.8861 0.3713
0.5118 0.1627 0.1627
0.8861 0.3713 0.3713
0.3754 0.8749 0.8749
0.8749 0.3754 0.8749
0.8749 0.8749 0.3754
0.8749 0.8749 0.8749
```

Largest 10 diffraction maxima, by angle, 15 to 90 degrees two-theta:
2θ = 34.00°, intensity 7; 2θ = 38.37°, intensity 30; 2θ = 40.80°, intensity 100; 2θ = 44.60°, intensity 29; 2θ = 47.46°, intensity 11; 2θ = 52.84°, intensity 8; 2θ = 69.38°, intensity 27; 2θ = 71.03°, intensity 7; 2θ = 83.73°, intensity 17; 2θ = 88.39°, intensity 8